Starting from a DFT-relaxed cell (GGA-PBE, Alexandria), the X-ray diffraction stick pattern of Sm2DyIr was computed for Cu Kα (λ = 1.5418 Å).

The 8 most intense peaks (15° ≤ 2θ ≤ 90°), low angle first:
| 2theta | I/Imax |
| --- | --- |
| 30.5 | 55 |
| 32.0 | 56 |
| 33.3 | 100 |
| 35.3 | 24 |
| 37.3 | 61 |
| 46.2 | 27 |
| 58.5 | 23 |
| 58.8 | 27 |

```
Sm2DyIr
1.0
1.967 -6.027 0.000
1.967 6.027 0.000
0.000 0.000 9.458
Sm Dy Ir
4 2 2
Direct
0.139 0.861 0.567
0.139 0.861 0.933
0.861 0.139 0.067
0.861 0.139 0.433
0.420 0.580 0.750
0.580 0.420 0.250
0.252 0.748 0.250
0.748 0.252 0.750
```

Starting from a DFT-relaxed cell (GGA-PBE, Alexandria), the X-ray diffraction stick pattern of SmDyZnIr was computed for Cu Kα (λ = 1.5418 Å).

The 8 most intense peaks (15° ≤ 2θ ≤ 90°), low angle first:
| 2theta | I/Imax |
| --- | --- |
| 16.5 | 19 |
| 31.7 | 100 |
| 33.4 | 22 |
| 33.8 | 35 |
| 39.5 | 27 |
| 39.8 | 65 |
| 41.6 | 28 |
| 45.9 | 21 |

```
SmDyZnIr
1.0
4.346 0.000 0.000
0.000 1.977 5.369
0.000 -1.977 5.369
Sm Dy Zn Ir
1 1 1 1
Direct
0.000 0.000 0.000
0.500 0.721 0.721
0.500 0.428 0.428
0.000 0.285 0.285
```

Starting from a DFT-relaxed cell (GGA-PBE, Alexandria), the X-ray diffraction stick pattern of Dy8SnIr2 was computed for Cu Kα (λ = 1.5418 Å).

The 8 most intense peaks (15° ≤ 2θ ≤ 90°), low angle first:
| 2theta | I/Imax |
| --- | --- |
| 30.0 | 53 |
| 31.9 | 100 |
| 32.9 | 83 |
| 33.6 | 41 |
| 34.5 | 77 |
| 37.9 | 82 |
| 38.4 | 46 |
| 56.0 | 36 |

```
Dy8SnIr2
1.0
4.361 -6.597 0.000
4.361 6.597 0.000
-1.315 0.000 5.309
Dy Sn Ir
8 1 2
Direct
0.071 0.329 0.577
0.247 0.753 0.000
0.329 0.071 0.577
0.389 0.389 0.200
0.611 0.611 0.800
0.671 0.929 0.423
0.753 0.247 0.000
0.929 0.671 0.423
0.000 0.000 0.000
0.309 0.691 0.500
0.691 0.309 0.500
```

Starting from a DFT-relaxed cell (GGA-PBE, Alexandria), the X-ray diffraction stick pattern of Dy8Sn2Ir3 was computed for Cu Kα (λ = 1.5418 Å).

The 8 most intense peaks (15° ≤ 2θ ≤ 90°), low angle first:
| 2theta | I/Imax |
| --- | --- |
| 20.4 | 18 |
| 27.6 | 32 |
| 27.8 | 21 |
| 32.9 | 100 |
| 33.6 | 39 |
| 39.3 | 27 |
| 46.4 | 51 |
| 47.9 | 25 |

```
Dy8Sn2Ir3
1.0
8.081 -3.794 0.000
8.081 3.794 0.000
-2.328 0.000 6.455
Dy Sn Ir
8 2 3
Direct
0.089 0.089 0.419
0.148 0.650 0.095
0.350 0.852 0.905
0.358 0.358 0.517
0.642 0.642 0.483
0.650 0.148 0.095
0.852 0.350 0.905
0.911 0.911 0.581
0.250 0.250 0.832
0.750 0.750 0.168
0.000 0.000 0.000
0.301 0.699 0.500
0.699 0.301 0.500
```

Starting from a DFT-relaxed cell (GGA-PBE, Alexandria), the X-ray diffraction stick pattern of DyTaIr was computed for Cu Kα (λ = 1.5418 Å).

The 8 most intense peaks (15° ≤ 2θ ≤ 90°), low angle first:
| 2theta | I/Imax |
| --- | --- |
| 33.4 | 23 |
| 34.0 | 63 |
| 36.0 | 48 |
| 39.3 | 100 |
| 46.0 | 52 |
| 59.7 | 22 |
| 67.1 | 20 |
| 80.6 | 25 |

```
DyTaIr
1.0
-1.973 1.973 8.058
1.973 -1.973 8.058
1.973 1.973 -8.058
Dy Ta Ir
2 2 2
Direct
0.176 0.176 0.000
0.824 0.824 0.000
0.000 0.500 0.500
0.500 0.000 0.500
0.376 0.376 0.000
0.624 0.624 0.000
```

Starting from a DFT-relaxed cell (GGA-PBE, Alexandria), the X-ray diffraction stick pattern of TbDy3Ir8 was computed for Cu Kα (λ = 1.5418 Å).

The 8 most intense peaks (15° ≤ 2θ ≤ 90°), low angle first:
| 2theta | I/Imax |
| --- | --- |
| 20.3 | 11 |
| 33.4 | 22 |
| 39.4 | 100 |
| 41.2 | 46 |
| 63.8 | 33 |
| 70.2 | 29 |
| 83.6 | 9 |
| 84.8 | 18 |

```
TbDy3Ir8
1.0
2.682 1.548 8.750
-2.682 1.548 8.750
0.000 -3.097 8.750
Tb Dy Ir
1 3 8
Direct
0.000 0.000 0.000
0.125 0.125 0.125
0.500 0.500 0.500
0.625 0.625 0.625
0.062 0.062 0.562
0.062 0.562 0.062
0.063 0.563 0.563
0.312 0.312 0.312
0.562 0.062 0.062
0.563 0.063 0.563
0.563 0.563 0.063
0.812 0.812 0.812
```

Starting from a DFT-relaxed cell (GGA-PBE, Alexandria), the X-ray diffraction stick pattern of Tb3DyIr8 was computed for Cu Kα (λ = 1.5418 Å).

The 8 most intense peaks (15° ≤ 2θ ≤ 90°), low angle first:
| 2theta | I/Imax |
| --- | --- |
| 20.3 | 12 |
| 33.4 | 22 |
| 39.4 | 100 |
| 41.2 | 46 |
| 63.7 | 33 |
| 70.1 | 30 |
| 83.5 | 12 |
| 84.7 | 18 |

```
Tb3DyIr8
1.0
2.684 1.550 8.758
-2.684 1.550 8.758
0.000 -3.100 8.758
Tb Dy Ir
3 1 8
Direct
0.000 0.000 0.000
0.125 0.125 0.125
0.625 0.625 0.625
0.500 0.500 0.500
0.062 0.062 0.562
0.062 0.562 0.062
0.063 0.562 0.562
0.312 0.312 0.312
0.562 0.062 0.062
0.562 0.063 0.562
0.562 0.562 0.063
0.812 0.812 0.812
```

Starting from a DFT-relaxed cell (GGA-PBE, Alexandria), the X-ray diffraction stick pattern of Tb2DyIr2 was computed for Cu Kα (λ = 1.5418 Å).

The 8 most intense peaks (15° ≤ 2θ ≤ 90°), low angle first:
| 2theta | I/Imax |
| --- | --- |
| 20.3 | 15 |
| 25.3 | 12 |
| 37.1 | 100 |
| 37.3 | 49 |
| 53.8 | 17 |
| 66.8 | 18 |
| 67.2 | 36 |
| 79.1 | 11 |

```
Tb2DyIr2
1.0
4.816 0.000 0.000
0.000 4.823 0.000
0.000 0.000 10.334
Tb Dy Ir
4 2 4
Direct
0.250 0.250 0.000
0.250 0.250 0.333
0.750 0.750 0.000
0.750 0.750 0.667
0.250 0.250 0.665
0.750 0.750 0.335
0.250 0.750 0.162
0.250 0.750 0.506
0.750 0.250 0.494
0.750 0.250 0.838
```

- Which formula does entry 7 have?
  Tb3DyIr8

Repeat the third record exactly.
Starting from a DFT-relaxed cell (GGA-PBE, Alexandria), the X-ray diffraction stick pattern of Dy8SnIr2 was computed for Cu Kα (λ = 1.5418 Å).

The 8 most intense peaks (15° ≤ 2θ ≤ 90°), low angle first:
| 2theta | I/Imax |
| --- | --- |
| 30.0 | 53 |
| 31.9 | 100 |
| 32.9 | 83 |
| 33.6 | 41 |
| 34.5 | 77 |
| 37.9 | 82 |
| 38.4 | 46 |
| 56.0 | 36 |

```
Dy8SnIr2
1.0
4.361 -6.597 0.000
4.361 6.597 0.000
-1.315 0.000 5.309
Dy Sn Ir
8 1 2
Direct
0.071 0.329 0.577
0.247 0.753 0.000
0.329 0.071 0.577
0.389 0.389 0.200
0.611 0.611 0.800
0.671 0.929 0.423
0.753 0.247 0.000
0.929 0.671 0.423
0.000 0.000 0.000
0.309 0.691 0.500
0.691 0.309 0.500
```